Starting from DFT lattice parameters and positions (GGA-PBE), the XRD peak list of La4Pm3Pr4 was calculated for λ = 1.5418 Å (Cu Kα).
Intensities are scaled so that the largest is 100.

Principal peaks in the range 2θ from 10° to 90°, by angle:
d/Å	I_rel
2.986	40
2.941	100
2.933	49
2.921	87
1.695	36
1.537	43

Crystal structure
a b c (Å): 3.6076 5.8860 18.9425
angles (deg): 81.18 84.55 90.00
Sites, in units of the cell vectors:
La1 0.0458 0.0489 0.4079
La2 0.1803 0.6805 0.1397
La3 0.8197 0.3195 0.8603
La4 0.9542 0.9511 0.5921
Pm1 0.3639 0.8631 0.7728
Pm2 0.5000 0.5000 0.5000
Pm3 0.6361 0.1369 0.2272
Pr1 0.0904 0.5922 0.3189
Pr2 0.2325 0.2323 0.0353
Pr3 0.7675 0.7677 0.9647
Pr4 0.9096 0.4078 0.6811

Starting from DFT lattice parameters and positions (GGA-PBE), the XRD peak list of La2Tb12Er was calculated for λ = 1.5418 Å (Cu Kα).
Intensities are scaled so that the largest is 100.

Principal peaks in the range 2θ from 10° to 90°, by angle:
d/Å	I_rel
3.017	60
2.937	96
2.851	100
2.731	82
2.719	59
2.443	73

Crystal structure
a b c (Å): 6.7242 6.7242 24.8848
angles (deg): 90.00 90.00 115.97
Sites, in units of the cell vectors:
La1 0.2500 0.7500 0.2325
La2 0.2500 0.7500 0.7678
La3 0.7500 0.2500 0.2322
La4 0.7500 0.2500 0.7675
Tb1 0.0000 0.0000 0.4238
Tb2 0.0000 0.0000 0.5762
Tb3 0.0005 0.5005 0.0840
Tb4 0.0000 0.5000 0.3760
Tb5 0.0000 0.5000 0.6240
Tb6 0.9995 0.4995 0.9160
Tb7 0.0007 0.9993 0.9379
Tb8 0.2500 0.2500 0.1730
Tb9 0.2500 0.2500 0.3028
Tb10 0.2500 0.2500 0.6972
Tb11 0.2500 0.2500 0.8270
Tb12 0.4993 0.5007 0.9379
Tb13 0.4995 0.9995 0.0840
Tb14 0.5000 0.0000 0.3760
Tb15 0.5000 0.0000 0.6240
Tb16 0.5005 0.0005 0.9160
Tb17 0.5000 0.5000 0.4238
Tb18 0.5000 0.5000 0.5762
Tb19 0.5007 0.4993 0.0621
Tb20 0.7500 0.7500 0.1730
Tb21 0.7500 0.7500 0.3028
Tb22 0.7500 0.7500 0.6972
Tb23 0.7500 0.7500 0.8270
Tb24 0.9993 0.0007 0.0621
Er1 0.2500 0.7500 0.5000
Er2 0.7500 0.2500 0.5000

Starting from DFT lattice parameters and positions (GGA-PBE), the XRD peak list of LaHoF6 was calculated for λ = 1.5418 Å (Cu Kα).
Intensities are scaled so that the largest is 100.

Principal peaks in the range 2θ from 10° to 90°, by angle:
d/Å	I_rel
3.878	100
3.245	99
2.094	80
1.939	22
1.786	23
1.664	24

Crystal structure
a b c (Å): 5.4839 5.4839 8.0502
angles (deg): 90.00 90.00 90.00
Sites, in units of the cell vectors:
La1 0.0000 0.0000 0.0000
La2 0.0000 0.0000 0.5000
Ho1 0.5000 0.5000 0.2500
Ho2 0.5000 0.5000 0.7500
F1 0.2053 0.2495 0.1844
F2 0.2053 0.2495 0.8156
F3 0.2495 0.7947 0.3156
F4 0.2495 0.7947 0.6844
F5 0.3152 0.3397 0.5000
F6 0.3397 0.6848 0.0000
F7 0.6603 0.3152 0.0000
F8 0.6848 0.6603 0.5000
F9 0.7505 0.2053 0.3156
F10 0.7505 0.2053 0.6844
F11 0.7947 0.7505 0.1844
F12 0.7947 0.7505 0.8156